Calculated powder XRD pattern of CsBaLiP2O7 for λ = 1.5418 Å (Cu Kα), from a DFT-relaxed cell (PBE, Alexandria).

Crystal structure
```
48
Lattice="7.2017 0.0000 0.0000 0.0000 11.0134 0.0000 -2.9708 0.0000 10.4906" Properties=species:S:1:pos:R:3 pbc="T T T"
Cs 1.7350 1.8657 0.0630
Cs 0.2496 3.6410 5.3083
Cs 3.9813 7.3723 5.1822
Cs 2.4959 9.1477 10.4275
Ba -1.1982 6.1498 9.2139
Ba 0.2872 10.3702 3.9687
Ba 3.9437 0.6431 6.5219
Ba 5.4291 4.8636 1.2766
Li 0.5421 8.1583 6.7254
Li 2.0275 8.3617 1.4802
Li 2.2034 2.6517 9.0104
Li 3.6888 2.8550 3.7651
P 0.1845 7.0131 3.5157
P -1.3009 9.5069 8.7609
P 0.6397 0.1640 7.2986
P 2.1251 5.3427 2.0533
P 2.1058 5.6706 8.4373
P 3.5912 10.8494 3.1920
P 5.5318 1.5065 1.7296
P 4.0464 4.0002 6.9749
O -0.4533 0.5871 1.7321
O -1.9387 4.9195 6.9773
O 0.2481 7.9736 2.3175
O -1.2373 8.5464 7.5628
O -0.5180 0.6333 6.4043
O 0.9674 4.8734 1.1590
O 0.3883 7.7586 4.8384
O -1.0971 8.7614 10.0837
O 1.5068 6.0126 3.4226
O 0.0214 10.5075 8.6679
O 2.9490 6.4543 1.3573
O 1.4636 10.0657 6.6026
O 1.2192 6.8066 7.9363
O 2.7046 9.7134 2.6910
O 1.5263 1.2999 7.7995
O 3.0117 4.2067 2.5542
O 2.7673 0.9477 3.8880
O 1.2819 4.5590 9.1333
O 4.2095 0.5059 1.8226
O 2.7241 5.0008 7.0679
O 5.3280 2.2520 0.4069
O 3.8426 3.2547 5.6522
O 3.2635 6.1399 9.3315
O 4.7489 10.3801 4.0863
O 5.4682 2.4669 2.9278
O 3.9828 3.0397 8.1731
O 6.1696 6.0938 3.5132
O 4.6842 10.4262 8.7585
```

Peak list (8 most intense, 15 to 90 degrees two-theta, most intense first)
2θ/deg, d (Å), intensity
25.71, 3.465, 100
26.71, 3.337, 75
34.94, 2.568, 50
25.25, 3.526, 39
23.60, 3.769, 39
20.91, 4.249, 37
29.70, 3.008, 27
43.10, 2.099, 24

=====

Calculated powder XRD pattern of Cs3BaN8 for λ = 1.5418 Å (Cu Kα), from a DFT-relaxed cell (PBE, Alexandria).

Crystal structure
```
12
Lattice="-4.2953 4.2953 4.5639 4.2953 -4.2953 4.5639 4.2953 4.2953 -4.5639" Properties=species:S:1:pos:R:3 pbc="T T T"
Cs 0.0000 0.0000 0.0000
Cs 4.2953 0.0000 2.2820
Cs 0.0000 4.2953 2.2820
Ba 0.0000 0.0000 4.5639
N 2.1238 2.1238 -1.2384
N 2.8825 2.8825 -1.7496
N 2.1715 -2.1715 5.8024
N 1.4128 1.4128 2.8143
N 1.4128 -1.4128 6.3136
N 2.1715 2.1715 3.3255
N -1.4128 1.4128 6.3136
N -2.1715 2.1715 5.8024
```

Peak list (8 most intense, 15 to 90 degrees two-theta, most intense first)
2θ/deg, d (Å), intensity
24.39, 3.649, 100
38.57, 2.334, 65
20.68, 4.295, 51
29.41, 3.037, 41
44.98, 2.015, 23
58.39, 1.580, 17
63.28, 1.470, 16
47.32, 1.921, 14